Diffraction record for Ag2GeSe3. The powder XRD pattern is theoretical, not measured: it uses a crystal structure in OQMD, relaxed with GGA-PBE and a wavelength of 1.5418 Å.
Neutral-atom scattering factors, no anomalous dispersion.

Main lines, low angle first (10° ≤ 2θ ≤ 90°):
h k l, 2theta, Rel. int.
0 2 0, 24.07, 41
3 1 0, 24.44, 100
0 0 2, 25.86, 82
0 2 1, 27.38, 42
3 1 1, 27.70, 58
3 3 0, 42.57, 74
3 1 3, 46.75, 70
3 3 2, 50.48, 43

Crystal structure
```
data_Ag2GeSe3
_symmetry_space_group_name_H-M 'C m c 21'
_symmetry_Int_Tables_number 36
_symmetry_space_group_name_Hall 'C 2c -2'
_cell_length_a 12.559
_cell_length_b 7.393
_cell_length_c 6.892
_cell_angle_alpha 90.00
_cell_angle_beta 90.00
_cell_angle_gamma 90.00
loop_
_atom_site_label
_atom_site_type_symbol
_atom_site_fract_x
_atom_site_fract_y
_atom_site_fract_z
Ag1 Ag 0.157 0.149 0.000
Ge1 Ge 0.000 0.340 0.529
Se1 Se 0.000 0.348 0.160
Se2 Se 0.160 0.192 0.618
```